For La2CoSiO2, a structure optimized by DFT (GGA+U) gives the calculated powder diffraction line list in this record (Cu Kα).

The 6 most intense peaks (15 to 90 degrees two-theta), most intense first:
two_theta	d [Å]	Rel. int.	(hkl)
34.53	2.597	100	1 0 2
32.24	2.777	50	1 1 0
58.97	1.566	42	2 1 2
22.64	3.927	36	1 0 0
46.24	1.963	26	2 0 0
41.70	2.166	20	1 1 2

Atomic structure:
```
La2CoSiO2
1.0
3.927 0.000 0.000
0.000 3.927 0.000
0.000 0.000 6.925
La Co Si O
2 1 1 2
direct
0.000 0.000 0.241
0.000 0.000 0.759
0.500 0.500 0.000
0.500 0.500 0.500
0.000 0.500 0.000
0.500 0.000 0.000
```